(1)
For Pr3I, DFT lattice parameters and positions (GGA-PBE) gives the simulated X-ray diffraction stick pattern in this record (Cu Kα).
Kinematic intensities with the Lorentz-polarization factor, no thermal factor.

The 10 most intense peaks (15° ≤ 2θ ≤ 90°), sorted by position:
2theta, Rel. int., index
28.85, 23, 2 0 0
30.48, 27, 0 0 2
32.71, 100, 2 0 1
42.46, 16, 2 0 2
51.11, 19, 2 2 0
55.60, 22, 2 0 3
60.69, 22, 2 2 2
62.02, 16, 4 0 1
84.44, 13, 4 2 1
85.70, 9, 2 2 4

Structural model:
```
data_Pr3I
_symmetry_space_group_name_H-M 'P 63/m m c'
_symmetry_Int_Tables_number 194
_symmetry_space_group_name_Hall '-P 6c 2c'
_cell_length_a 7.1480
_cell_length_b 7.1480
_cell_length_c 5.8653
_cell_angle_alpha 90.00
_cell_angle_beta 90.00
_cell_angle_gamma 120.00
loop_
_atom_site_label
_atom_site_type_symbol
_atom_site_fract_x
_atom_site_fract_y
_atom_site_fract_z
Pr1 Pr 0.1668 0.3337 0.2500
I1 I 0.3333 0.6667 0.7500
```



(2)
For PrI3, DFT lattice parameters and positions (GGA-PBE) gives the simulated X-ray diffraction stick pattern in this record (Cu Kα).
Kinematic intensities with the Lorentz-polarization factor, no thermal factor.

The 10 most intense peaks (15° ≤ 2θ ≤ 90°), sorted by position:
2theta, Rel. int., index
18.34, 60, 2 0 0
24.34, 26, 2 1 0
28.33, 100, 2 0 1
32.05, 19, 2 2 0
32.63, 24, 2 1 1
35.24, 44, 3 0 1
40.01, 26, 3 1 1
48.92, 19, 3 3 0
57.50, 23, 5 1 1
72.02, 20, 5 3 1

Structural model:
```
data_PrI3
_symmetry_space_group_name_H-M 'P 63/m m c'
_symmetry_Int_Tables_number 194
_symmetry_space_group_name_Hall '-P 6c 2c'
_cell_length_a 11.1710
_cell_length_b 11.1710
_cell_length_c 4.1513
_cell_angle_alpha 90.00
_cell_angle_beta 90.00
_cell_angle_gamma 120.00
loop_
_atom_site_label
_atom_site_type_symbol
_atom_site_fract_x
_atom_site_fract_y
_atom_site_fract_z
Pr1 Pr 0.3333 0.6667 0.2500
I1 I 0.2101 0.4203 0.7500
```



(3)
For Pr2I5, DFT lattice parameters and positions (GGA-PBE) gives the simulated X-ray diffraction stick pattern in this record (Cu Kα).
Kinematic intensities with the Lorentz-polarization factor, no thermal factor.

The 10 most intense peaks (15° ≤ 2θ ≤ 90°), sorted by position:
2theta, Rel. int., index
25.83, 70, 1 1 2
27.14, 68, 2 0 3
27.92, 64, 2 1 0
28.27, 100, 2 1 -1
29.83, 81, 0 0 5
31.51, 36, 0 1 4
37.05, 30, 1 1 -5
38.05, 35, 2 1 4
38.35, 36, 4 0 0
41.37, 47, 0 2 0

Structural model:
```
data_Pr2I5
_symmetry_space_group_name_H-M 'P 1 21/m 1'
_symmetry_Int_Tables_number 11
_cell_length_a 9.4170
_cell_length_b 4.3648
_cell_length_c 15.0030
_cell_angle_alpha 90.00
_cell_angle_beta 94.67
_cell_angle_gamma 90.00
loop_
_symmetry_equiv_pos_as_xyz
'x,y,z'
'-x,-y,-z'
'-x,y+1/2,-z'
'x,-y+1/2,z'
loop_
_atom_site_label
_atom_site_type_symbol
_atom_site_fract_x
_atom_site_fract_y
_atom_site_fract_z
Pr1 Pr 0.0860 0.2500 0.1575
Pr2 Pr 0.3976 0.7500 0.3487
I1 I 0.1344 0.2500 0.7850
I2 I 0.1521 0.2500 0.3750
I3 I 0.1808 0.7500 0.0147
I4 I 0.3663 0.7500 0.5711
I5 I 0.4347 0.2500 0.1915
```



(4)
For Pr3PtI3, DFT lattice parameters and positions (GGA-PBE) gives the simulated X-ray diffraction stick pattern in this record (Cu Kα).
Kinematic intensities with the Lorentz-polarization factor, no thermal factor.

The 10 most intense peaks (15° ≤ 2θ ≤ 90°), sorted by position:
2theta, Rel. int., index
26.33, 8, 3 2 1
28.18, 100, 4 0 0
36.16, 8, 5 1 0
40.28, 70, 4 4 0
49.88, 23, 4 4 4
53.14, 9, 5 5 2
57.27, 8, 7 3 2
58.28, 10, 8 0 0
65.97, 25, 8 4 0
73.22, 17, 8 4 4

Structural model:
```
data_Pr3PtI3
_symmetry_space_group_name_H-M 'I 41 3 2'
_symmetry_Int_Tables_number 214
_symmetry_space_group_name_Hall 'I 4bd 2c 3'
_cell_length_a 12.6657
_cell_length_b 12.6657
_cell_length_c 12.6657
_cell_angle_alpha 90.00
_cell_angle_beta 90.00
_cell_angle_gamma 90.00
loop_
_atom_site_label
_atom_site_type_symbol
_atom_site_fract_x
_atom_site_fract_y
_atom_site_fract_z
Pr1 Pr 0.1046 0.3546 0.1250
Pt1 Pt 0.1250 0.1250 0.1250
I1 I 0.1168 0.1332 0.6250
```



(5)
For Rb2PrI5, DFT lattice parameters and positions (GGA-PBE) gives the simulated X-ray diffraction stick pattern in this record (Cu Kα).
Kinematic intensities with the Lorentz-polarization factor, no thermal factor.

The 10 most intense peaks (15° ≤ 2θ ≤ 90°), sorted by position:
2theta, Rel. int., index
23.17, 39, 2 2 1
25.30, 74, 4 0 1
25.69, 27, 3 0 2
26.40, 100, 1 2 2
26.69, 55, 3 2 1
28.33, 50, 2 2 2
29.50, 41, 4 2 0
31.77, 34, 2 1 3
35.68, 51, 0 4 0
35.85, 30, 5 2 1

Structural model:
```
data_Rb2PrI5
_symmetry_space_group_name_H-M 'P n m a'
_symmetry_Int_Tables_number 62
_cell_length_a 15.1498
_cell_length_b 10.0692
_cell_length_c 9.5447
_cell_angle_alpha 90.00
_cell_angle_beta 90.00
_cell_angle_gamma 90.00
loop_
_symmetry_equiv_pos_as_xyz
'x,y,z'
'-x,-y,-z'
'-x+1/2,-y,z+1/2'
'x+1/2,y,-z+1/2'
'x+1/2,-y+1/2,-z+1/2'
'-x+1/2,y+1/2,z+1/2'
'-x,y+1/2,-z'
'x,-y+1/2,z'
loop_
_atom_site_label
_atom_site_type_symbol
_atom_site_fract_x
_atom_site_fract_y
_atom_site_fract_z
Rb1 Rb 0.1736 0.0032 0.0563
Pr1 Pr 0.0048 0.2500 0.5780
I1 I 0.0103 0.2500 0.9179
I2 I 0.0737 0.5449 0.6636
I3 I 0.1752 0.2500 0.3778
I4 I 0.2003 0.7500 0.3419
```



(6)
For Pr3RuI3, DFT lattice parameters and positions (GGA-PBE) gives the simulated X-ray diffraction stick pattern in this record (Cu Kα).
Kinematic intensities with the Lorentz-polarization factor, no thermal factor.

The 10 most intense peaks (15° ≤ 2θ ≤ 90°), sorted by position:
2theta, Rel. int., index
27.93, 100, 2 1 0
28.15, 45, 0 0 4
29.48, 10, 0 1 3
38.20, 14, 4 0 0
39.30, 32, 2 1 -4
40.83, 27, 2 1 4
41.55, 20, 0 2 0
46.76, 12, 4 0 -4
50.95, 17, 0 2 4
57.71, 8, 4 2 0

Structural model:
```
data_Pr3RuI3
_symmetry_space_group_name_H-M 'P 1 21/m 1'
_symmetry_Int_Tables_number 11
_cell_length_a 9.4383
_cell_length_b 4.3467
_cell_length_c 12.6980
_cell_angle_alpha 90.00
_cell_angle_beta 93.11
_cell_angle_gamma 90.00
loop_
_symmetry_equiv_pos_as_xyz
'x,y,z'
'-x,-y,-z'
'-x,y+1/2,-z'
'x,-y+1/2,z'
loop_
_atom_site_label
_atom_site_type_symbol
_atom_site_fract_x
_atom_site_fract_y
_atom_site_fract_z
Pr1 Pr 0.0962 0.2500 0.3917
Pr2 Pr 0.1154 0.2500 0.8303
Pr3 Pr 0.3090 0.7500 0.6180
Ru1 Ru 0.1098 0.2500 0.6201
I1 I 0.1317 0.2500 0.1181
I2 I 0.3653 0.7500 0.8760
I3 I 0.3950 0.7500 0.3668
```